1.
This entry pairs a crystal structure of Pm4Pr3Sm2 with its computed powder X-ray diffraction pattern. Radiation: Cu Kα (weighted mean of Kα1 and Kα2). Structure: a GGA-PBE-relaxed structure.
No peak broadening, texture or thermal motion is included.

Principal peaks in the range 2θ from 10° to 90°, by angle:
28.1 deg, I 50; 29.4 deg, I 54; 31.1 deg, I 73; 32.6 deg, I 100; 41.1 deg, I 34; 49.8 deg, I 40; 55.2 deg, I 30; 58.9 deg, I 46; 60.8 deg, I 18; 82.4 deg, I 15

```
Pm4Pr3Sm2
1.0
3.6642 0.0000 0.0000
-1.8321 3.1733 0.0000
0.0000 0.0000 27.3606
Pm Pr Sm
4 3 2
Cartesian
0.0000 0.0000 0.0000
0.0000 0.0000 6.0273
0.0000 2.1155 8.9548
0.0000 2.1155 15.0485
0.0000 0.0000 11.9992
0.0000 2.1155 2.9181
0.0000 2.1155 21.0418
0.0000 0.0000 17.9546
0.0000 0.0000 23.9399
```

---

2.
This entry pairs a crystal structure of Co2NiRu2 with its computed powder X-ray diffraction pattern. Radiation: Cu Kα (weighted mean of Kα1 and Kα2). Structure: a GGA-PBE-relaxed structure.
No peak broadening, texture or thermal motion is included.

Principal peaks in the range 2θ from 10° to 90°, by angle:
17.8 deg, I 19; 40.5 deg, I 64; 43.0 deg, I 12; 44.9 deg, I 100; 46.5 deg, I 13; 51.9 deg, I 11; 54.0 deg, I 12; 58.9 deg, I 13; 82.4 deg, I 18; 85.9 deg, I 13

```
Co2NiRu2
1.0
7.0454 0.0000 0.0000
0.0000 7.0454 0.0000
0.0000 0.0000 2.6252
Co Ni Ru
4 2 4
Cartesian
1.1722 2.3505 0.0000
2.3505 5.8732 0.0000
4.6949 1.1722 0.0000
5.8732 4.6949 0.0000
0.0000 0.0000 1.3126
3.5227 3.5227 1.3126
0.9172 4.4399 1.3126
2.6055 0.9172 1.3126
4.4399 6.1282 1.3126
6.1282 2.6055 1.3126
```

---

3.
This entry pairs a crystal structure of Ho5Hf3As8 with its computed powder X-ray diffraction pattern. Radiation: Cu Kα (weighted mean of Kα1 and Kα2). Structure: a GGA-PBE-relaxed structure.
No peak broadening, texture or thermal motion is included.

Principal peaks in the range 2θ from 10° to 90°, by angle:
27.4 deg, I 20; 31.7 deg, I 100; 45.4 deg, I 37; 45.6 deg, I 37; 54.0 deg, I 10; 56.6 deg, I 19; 66.3 deg, I 12; 75.3 deg, I 16; 75.5 deg, I 16; 84.2 deg, I 12

```
Ho5Hf3As8
1.0
3.9791 2.2974 6.5360
-3.9791 2.2974 6.5360
0.0000 -4.5947 6.5360
Ho Hf As
5 3 8
Cartesian
0.0000 0.0000 0.0000
-1.9896 -1.1487 6.5360
-1.9896 1.1487 13.0720
0.0000 2.2974 6.5360
0.0000 0.0000 9.8040
-3.9791 0.0000 9.8040
-1.9896 1.1487 3.2680
1.9896 1.1487 3.2680
-2.0344 -1.1746 11.3649
0.0000 0.0000 4.7971
0.0000 -2.3491 8.2431
-2.0344 1.1746 8.2431
2.0344 -1.1746 11.3650
0.0000 2.3491 11.3650
0.0000 0.0000 14.8109
2.0344 1.1746 8.2431
```

---

4.
This entry pairs a crystal structure of ZrTi3As2 with its computed powder X-ray diffraction pattern. Radiation: Cu Kα (weighted mean of Kα1 and Kα2). Structure: a GGA-PBE-relaxed structure.
No peak broadening, texture or thermal motion is included.

Principal peaks in the range 2θ from 10° to 90°, by angle:
24.6 deg, I 20; 33.9 deg, I 49; 36.1 deg, I 82; 36.9 deg, I 33; 39.1 deg, I 62; 42.2 deg, I 100; 48.7 deg, I 64; 62.6 deg, I 25; 64.2 deg, I 27; 86.5 deg, I 23

```
ZrTi3As2
1.0
-1.8690 1.8690 7.3123
1.8690 -1.8690 7.3123
1.8690 1.8690 -7.3123
Zr Ti As
1 3 2
Cartesian
0.0000 0.0000 0.0000
1.8690 0.0000 4.6396
0.0000 0.0000 9.3914
0.0000 1.8690 4.6396
0.0000 0.0000 2.7255
0.0000 0.0000 6.5992
```